# Tb4Y3Tm5
Theoretical XRD peak list, Cu Kα X-rays. Input: a structure optimized by DFT (PBE).
Lines closer than 0.1° are merged.

The 10 most intense peaks (10 to 90 degrees two-theta), by intensity:
hkl	2theta	d/Å	I_rel
1 2 1	31.01	2.884	100
2 0 2	35.96	2.498	51
3 2 0	51.75	1.766	30
4 0 1	61.55	1.507	25
2 0 5	61.61	1.505	18
5 2 2	87.31	1.117	11
5 2 -1	84.58	1.146	9
2 4 2	64.59	1.443	6
0 0 6	64.68	1.441	6
2 0 -4	51.81	1.765	6

Lattice parameters (Å, degrees): 6.1167 7.0722 8.6444 89.99 89.98 89.95
Space group P-1 (No. 2)
Inequivalent atoms, fractional coordinates:
Tb 0.1677 0.0004 0.3309 (multiplicity 2)
Tb 0.3317 0.7500 0.6669 (multiplicity 2)
Y 0.3328 0.2504 0.6662 (multiplicity 2)
Y 0.5000 0.5000 0.0000 (multiplicity 1)
Tm 0.0008 0.7500 0.9994 (multiplicity 2)
Tm 0.1652 0.4996 0.3314 (multiplicity 2)
Tm 0.5000 0.0000 0.0000 (multiplicity 1)